Structure and calculated PXRD pattern of RbNpAgI5 (a cell relaxed with PBE; Cu Kα).
Neutral-atom scattering factors, no anomalous dispersion.

Most intense lines, 10 to 80 degrees two-theta, low angle first:
hkl 1 1 0, 11.3°, intensity 82
hkl 1 1 -2, 16.8°, intensity 96
hkl 2 2 -1, 21.5°, intensity 57
hkl 1 3 1, 24.4°, intensity 100
hkl 1 5 -2, 36.3°, intensity 58
hkl 4 0 -4, 39.6°, intensity 64

Cell and atoms:
a b c (Å): 10.3384 13.7484 11.6300
angles (deg): 90.00 113.10 90.00
Space group C2/c (No. 15)
Asymmetric unit:
Rb: 0.0000 0.1424 0.2500 (multiplicity 4)
Np: 0.0000 0.5000 0.0000 (multiplicity 4)
Ag: 0.0000 0.1910 0.7500 (multiplicity 4)
I: 0.0000 0.4157 0.2500 (multiplicity 4)
I: 0.1212 0.2961 0.6067 (multiplicity 8)
I: 0.1933 0.0675 0.9438 (multiplicity 8)